Structure and calculated powder X-ray diffraction pattern of ScSeBrO4 (a crystal structure in Alexandria, relaxed with GGA-PBE; copper Kα).

The 12 most intense peaks (2θ from 15° to 90°), sorted by position:
2theta, d (Å), intensity
20.09, 4.420, 13
22.78, 3.904, 19
25.82, 3.450, 25
26.15, 3.408, 100
28.39, 3.144, 43
30.57, 2.924, 78
36.92, 2.435, 37
38.98, 2.311, 32
39.99, 2.254, 21
48.99, 1.859, 23
53.50, 1.713, 14
53.79, 1.704, 14

Structure:
Cell lengths 6.0697, 6.0697, 6.4949 Å; angles 101.98, 101.98, 68.32 degrees
Element x y z (fractional)
Sc 0.2236 0.2236 0.1174
Sc 0.7764 0.7764 0.8826
Se 0.3635 0.3635 0.7271
Se 0.6365 0.6365 0.2729
Br 0.0139 0.0139 0.7590
Br 0.9861 0.9861 0.2410
O 0.1213 0.4868 0.8623
O 0.2789 0.2789 0.4752
O 0.4692 0.4692 0.2352
O 0.4868 0.1213 0.8623
O 0.5132 0.8787 0.1377
O 0.5308 0.5308 0.7648
O 0.7211 0.7211 0.5248
O 0.8787 0.5132 0.1377


Structure and calculated powder X-ray diffraction pattern of SeBr3O (a crystal structure in Alexandria, relaxed with GGA-PBE; copper Kα).

The 12 most intense peaks (2θ from 15° to 90°), sorted by position:
2theta, d (Å), intensity
17.95, 4.941, 23
19.06, 4.655, 100
20.04, 4.432, 64
22.37, 3.974, 35
23.31, 3.817, 30
23.79, 3.741, 34
27.07, 3.294, 71
34.30, 2.615, 27
35.64, 2.519, 49
38.61, 2.332, 26
40.44, 2.230, 50
54.00, 1.698, 23

Structure:
Cell lengths 4.6926, 7.6196, 19.9217 Å; angles 90.00, 97.22, 90.00 degrees
Element x y z (fractional)
Se 0.1995 0.1666 0.1119
Se 0.1995 0.3334 0.6119
Se 0.8005 0.6666 0.3881
Se 0.8005 0.8334 0.8881
Br 0.0327 0.5038 0.0986
Br 0.0327 0.9962 0.5986
Br 0.0515 0.6649 0.5649
Br 0.0515 0.8351 0.0649
Br 0.1814 0.1138 0.2294
Br 0.1814 0.3862 0.7294
Br 0.8186 0.6138 0.2706
Br 0.8186 0.8862 0.7706
Br 0.9485 0.1649 0.9351
Br 0.9485 0.3351 0.4351
Br 0.9673 0.0038 0.4014
Br 0.9673 0.4962 0.9014
O 0.4608 0.6746 0.3985
O 0.4608 0.8254 0.8985
O 0.5392 0.1746 0.1015
O 0.5392 0.3254 0.6015


Structure and calculated powder X-ray diffraction pattern of USiBrO4 (a crystal structure in Alexandria, relaxed with GGA-PBE; copper Kα).

The 12 most intense peaks (2θ from 15° to 90°), sorted by position:
2theta, d (Å), intensity
18.39, 4.823, 58
19.36, 4.586, 81
22.72, 3.914, 51
26.19, 3.403, 100
27.69, 3.222, 33
29.74, 3.004, 37
30.42, 2.939, 52
34.31, 2.614, 50
36.09, 2.489, 56
36.95, 2.433, 30
37.27, 2.412, 34
46.13, 1.968, 30

Structure:
Cell lengths 6.0626, 6.0626, 6.7037 Å; angles 103.18, 103.18, 68.29 degrees
Element x y z (fractional)
U 0.2475 0.2475 0.3417
U 0.7525 0.7525 0.6583
Si 0.1382 0.1382 0.7673
Si 0.8618 0.8618 0.2327
Br 0.4856 0.4856 0.7412
Br 0.5144 0.5144 0.2588
O 0.0111 0.3855 0.6586
O 0.0317 0.0317 0.2890
O 0.2018 0.2018 0.0199
O 0.3855 0.0111 0.6586
O 0.6145 0.9889 0.3414
O 0.7982 0.7982 0.9801
O 0.9683 0.9683 0.7110
O 0.9889 0.6145 0.3414